[1]
Tb6Pr5Sm2: computed X-ray diffraction stick pattern (Cu Kα), based on a DFT-relaxed cell (PBE, Alexandria).

Structure:
Lattice parameters (Å, degrees): 11.8035 20.7758 3.6395 90.00 90.00 90.00
Fractional coordinates of all 26 atoms:
Tb (0.0616, 0.0792, 0.0000)
Tb (0.0788, 0.3673, 0.0000)
Tb (0.1777, 0.6348, 0.5000)
Tb (0.3223, 0.1348, 0.5000)
Tb (0.4212, 0.8673, 0.0000)
Tb (0.4384, 0.5792, 0.0000)
Tb (0.5616, 0.4208, 0.0000)
Tb (0.5788, 0.1327, 0.0000)
Tb (0.6777, 0.8652, 0.5000)
Tb (0.8223, 0.3652, 0.5000)
Tb (0.9212, 0.6327, 0.0000)
Tb (0.9384, 0.9208, 0.0000)
Pr (0.0000, 0.5000, 0.5000)
Pr (0.0830, 0.2247, 0.5000)
Pr (0.1995, 0.9490, 0.5000)
Pr (0.3005, 0.4490, 0.5000)
Pr (0.4170, 0.7247, 0.5000)
Pr (0.5000, 0.0000, 0.5000)
Pr (0.5830, 0.2753, 0.5000)
Pr (0.6995, 0.5510, 0.5000)
Pr (0.8005, 0.0510, 0.5000)
Pr (0.9170, 0.7753, 0.5000)
Sm (0.1732, 0.7865, 0.0000)
Sm (0.3268, 0.2865, 0.0000)
Sm (0.6732, 0.7135, 0.0000)
Sm (0.8268, 0.2135, 0.0000)

Top 10 peaks for 5° ≤ 2θ ≤ 70°, low angle first:
| 2θ (°) | d [Å] | I/Imax | h k l |
| --- | --- | --- | --- |
| 30.60 | 2.922 | 69 | 4 1 0 |
| 30.94 | 2.890 | 54 | 1 4 1 |
| 31.07 | 2.878 | 68 | 1 7 0 |
| 31.64 | 2.828 | 100 | 2 3 1 |
| 33.69 | 2.661 | 42 | 2 4 1 |
| 34.51 | 2.599 | 25 | 3 6 0 |
| 36.03 | 2.493 | 35 | 3 3 1 |
| 50.13 | 1.820 | 24 | 0 0 2 |
| 56.04 | 1.641 | 25 | 6 4 1 |
| 59.88 | 1.545 | 21 | 4 1 2 |

=====

[2]
Er2Si2Rh5Au: computed X-ray diffraction stick pattern (Cu Kα), based on a DFT-relaxed cell (PBE, Alexandria).

Structure:
Lattice parameters (Å, degrees): 9.7211 9.7211 3.4923 90.00 90.00 90.00
Fractional coordinates of all 20 atoms:
Er (0.1747, 0.3253, 0.0000)
Er (0.3253, 0.8253, 0.0000)
Er (0.6747, 0.1747, 0.0000)
Er (0.8253, 0.6747, 0.0000)
Si (0.1245, 0.6245, 0.0000)
Si (0.3755, 0.1245, 0.0000)
Si (0.6245, 0.8755, 0.0000)
Si (0.8755, 0.3755, 0.0000)
Rh (0.0000, 0.5000, 0.5000)
Rh (0.0691, 0.7847, 0.5000)
Rh (0.2153, 0.0691, 0.5000)
Rh (0.2847, 0.5691, 0.5000)
Rh (0.4309, 0.2847, 0.5000)
Rh (0.5000, 0.0000, 0.5000)
Rh (0.5691, 0.7153, 0.5000)
Rh (0.7153, 0.4309, 0.5000)
Rh (0.7847, 0.9309, 0.5000)
Rh (0.9309, 0.2153, 0.5000)
Au (0.0000, 0.0000, 0.0000)
Au (0.5000, 0.5000, 0.0000)

Top 10 peaks for 5° ≤ 2θ ≤ 70°, low angle first:
| 2θ (°) | d [Å] | I/Imax | h k l |
| --- | --- | --- | --- |
| 32.90 | 2.723 | 47 | 2 1 1 |
| 36.69 | 2.450 | 36 | 2 2 1 |
| 38.17 | 2.358 | 47 | 4 1 0 |
| 39.04 | 2.307 | 100 | 3 1 1 |
| 41.55 | 2.174 | 29 | 4 2 0 |
| 42.35 | 2.134 | 20 | 3 2 1 |
| 52.40 | 1.746 | 19 | 0 0 2 |
| 63.27 | 1.470 | 15 | 6 0 1 |
| 66.65 | 1.403 | 18 | 4 1 2 |
| 68.99 | 1.361 | 13 | 4 2 2 |

=====

[3]
Dy4Ni3Rh: computed X-ray diffraction stick pattern (Cu Kα), based on a DFT-relaxed cell (PBE, Alexandria).

Structure:
Lattice parameters (Å, degrees): 3.7381 4.2047 10.3454 90.00 90.00 90.00
Fractional coordinates of all 8 atoms:
Dy (0.0000, 0.0000, 0.0000)
Dy (0.0000, 0.5000, 0.2765)
Dy (0.5000, 0.0000, 0.4972)
Dy (0.5000, 0.5000, 0.7792)
Ni (0.0000, 0.5000, 0.5559)
Ni (0.5000, 0.0000, 0.2088)
Ni (0.5000, 0.5000, 0.0692)
Rh (0.0000, 0.0000, 0.7192)

Top 10 peaks for 5° ≤ 2θ ≤ 70°, low angle first:
| 2θ (°) | d [Å] | I/Imax | h k l |
| --- | --- | --- | --- |
| 27.33 | 3.263 | 30 | 0 1 2 |
| 33.22 | 2.697 | 100 | 1 1 1 |
| 34.68 | 2.586 | 27 | 0 0 4 |
| 35.41 | 2.535 | 38 | 1 0 3 |
| 40.97 | 2.203 | 18 | 0 1 4 |
| 41.60 | 2.171 | 50 | 1 1 3 |
| 43.02 | 2.102 | 27 | 0 2 0 |
| 48.72 | 1.869 | 19 | 2 0 0 |
| 56.90 | 1.618 | 19 | 1 2 3 |
| 67.00 | 1.397 | 14 | 2 2 0 |